Record 1
Calculated XRD peak list
Compound: Ac3Si4Rh
Radiation: Cu Ka
Structure: a PBE-relaxed structure
No peak broadening, texture or thermal motion is included.

Top 10 peaks for 5° ≤ 2θ ≤ 70°, in order of rising 2θ:
20.4°, d 4.355, I 23, hkl 2 0 -1; 21.1°, d 4.215, I 28, hkl 1 1 0; 24.4°, d 3.644, I 18, hkl 3 1 0; 26.1°, d 3.416, I 51, hkl 6 0 0; 29.1°, d 3.073, I 20, hkl 4 0 1; 30.2°, d 2.956, I 100, hkl 3 1 -1; 33.4°, d 2.682, I 62, hkl 3 1 1; 37.1°, d 2.420, I 27, hkl 7 1 0; 41.9°, d 2.154, I 24, hkl 0 2 0; 46.4°, d 1.957, I 20, hkl 9 1 -1

Structure:
a b c (Å): 20.856 4.308 4.489
angles (deg): 90.00 100.68 90.00
Space group C2/m (No. 12)
One atom of each set of equivalent atoms:
Ac 0.000 0.000 0.000
Ac 0.162 0.000 0.442
Si 0.105 0.500 0.882
Si 0.221 0.500 0.980
Rh 0.000 0.500 0.500


Record 2
Calculated XRD peak list
Compound: NaV2Cu
Radiation: Cu Ka
Structure: a PBE-relaxed structure
No peak broadening, texture or thermal motion is included.

Top 5 peaks for 5° ≤ 2θ ≤ 70°, in order of rising 2θ:
25.0°, d 3.568, I 14, hkl 1 1 1; 41.3°, d 2.185, I 100, hkl 2 2 0; 48.9°, d 1.863, I 7, hkl 3 1 1; 59.9°, d 1.545, I 15, hkl 4 0 0; 65.9°, d 1.418, I 3, hkl 3 3 1

Structure:
a b c (Å): 6.180 6.180 6.180
angles (deg): 90.00 90.00 90.00
Space group Fm-3m (No. 225)
One atom of each set of equivalent atoms:
Na 0.000 0.000 0.000
V 0.250 0.250 0.250
Cu 0.000 0.000 0.500


Record 3
Calculated XRD peak list
Compound: RbNa2ReF8
Radiation: Cu Ka
Structure: a PBE-relaxed structure
No peak broadening, texture or thermal motion is included.

Top 10 peaks for 5° ≤ 2θ ≤ 70°, in order of rising 2θ:
11.0°, d 8.020, I 54, hkl 0 0 1; 16.0°, d 5.525, I 100, hkl 0 1 0; 18.3°, d 4.854, I 56, hkl 1 0 0; 22.2°, d 4.010, I 54, hkl 0 0 2; 23.1°, d 3.853, I 80, hkl 1 1 0; 25.7°, d 3.470, I 58, hkl 1 -1 0; 26.8°, d 3.331, I 47, hkl 0 1 2; 28.2°, d 3.166, I 37, hkl 0 1 -2; 28.4°, d 3.140, I 31, hkl 1 0 2; 34.4°, d 2.610, I 29, hkl 1 -1 2

Structure:
a b c (Å): 4.884 5.564 8.037
angles (deg): 86.72 87.86 83.86
Space group P-1 (No. 2)
One atom of each set of equivalent atoms:
Rb 0.000 0.000 0.000
Na 0.465 0.469 0.206
Re 0.000 0.000 0.500
F 0.180 0.786 0.340
F 0.185 0.807 0.679
F 0.282 0.212 0.471
F 0.392 0.281 0.985


Record 4
Calculated XRD peak list
Compound: Cs3Ca2AgI9
Radiation: Cu Ka
Structure: a PBE-relaxed structure
No peak broadening, texture or thermal motion is included.

Top 10 peaks for 5° ≤ 2θ ≤ 70°, in order of rising 2θ:
24.7°, d 3.611, I 30, hkl 0 0 3; 25.3°, d 3.519, I 85, hkl 0 2 1; 29.1°, d 3.067, I 100, hkl 2 0 2; 41.2°, d 2.189, I 38, hkl 0 2 4; 42.1°, d 2.148, I 36, hkl 2 2 0; 48.6°, d 1.872, I 14, hkl 2 0 5; 49.4°, d 1.846, I 27, hkl 2 2 3; 52.0°, d 1.759, I 19, hkl 0 4 2; 67.8°, d 1.382, I 16, hkl 2 2 6; 69.0°, d 1.361, I 16, hkl 4 2 2

Structure:
a b c (Å): 8.5916 8.5916 10.8325
angles (deg): 90.00 90.00 120.00
Space group P-3m1 (No. 164)
One atom of each set of equivalent atoms:
Cs 0.0000 0.0000 0.0000
Cs 0.3333 0.6667 0.6581
Ca 0.3333 0.6667 0.1697
Ag 0.0000 0.0000 0.5000
I 0.0000 0.5000 0.0000
I 0.1650 0.3301 0.3412


Record 5
Calculated XRD peak list
Compound: MgNpTaO6
Radiation: Cu Ka
Structure: a PBE-relaxed structure
No peak broadening, texture or thermal motion is included.

Top 10 peaks for 5° ≤ 2θ ≤ 70°, in order of rising 2θ:
18.7°, d 4.738, I 67, hkl 1 0 0; 19.7°, d 4.499, I 91, hkl 0 0 2; 27.3°, d 3.263, I 87, hkl 1 0 2; 32.7°, d 2.736, I 76, hkl 1 1 0; 38.5°, d 2.338, I 100, hkl 1 1 2; 43.2°, d 2.096, I 26, hkl 2 0 2; 52.7°, d 1.738, I 62, hkl 1 1 4; 55.2°, d 1.664, I 25, hkl 2 1 2; 58.4°, d 1.579, I 26, hkl 3 0 0; 62.3°, d 1.490, I 26, hkl 3 0 2

Structure:
a b c (Å): 5.4713 5.4713 8.9986
angles (deg): 90.00 90.00 120.00
Space group P-31c (No. 163)
One atom of each set of equivalent atoms:
Mg 0.0000 0.0000 0.0000
Np 0.3333 0.6667 0.2500
Ta 0.3333 0.6667 0.7500
O 0.0185 0.3553 0.6327


Record 6
Calculated XRD peak list
Compound: Ac3Hg8
Radiation: Cu Ka
Structure: a PBE-relaxed structure
No peak broadening, texture or thermal motion is included.

Top 10 peaks for 5° ≤ 2θ ≤ 70°, in order of rising 2θ:
31.6°, d 2.831, I 89, hkl 0 1 11; 34.3°, d 2.614, I 100, hkl 1 1 0; 35.3°, d 2.540, I 13, hkl 1 0 13; 37.3°, d 2.412, I 7, hkl 0 1 14; 47.3°, d 1.920, I 30, hkl 2 0 11; 54.5°, d 1.683, I 8, hkl 1 0 22; 59.8°, d 1.548, I 30, hkl 1 2 11; 61.4°, d 1.509, I 19, hkl 3 0 0; 61.6°, d 1.505, I 7, hkl 1 0 25; 66.7°, d 1.403, I 8, hkl 1 1 24

Structure:
a b c (Å): 5.2279 5.2279 39.8930
angles (deg): 90.00 90.00 120.00
Space group R-3m (No. 166, hexagonal axes)
One atom of each set of equivalent atoms:
Ac 0.0000 0.0000 0.0000
Ac 0.0000 0.0000 0.4512
Hg 0.0000 0.0000 0.0840
Hg 0.0000 0.0000 0.1647
Hg 0.0000 0.0000 0.2781
Hg 0.0000 0.0000 0.3664


Record 7
Calculated XRD peak list
Compound: Li2Ho3Pd3
Radiation: Cu Ka
Structure: a PBE-relaxed structure
No peak broadening, texture or thermal motion is included.

Top 10 peaks for 5° ≤ 2θ ≤ 70°, in order of rising 2θ:
21.3°, d 4.166, I 53, hkl 1 1 0; 32.5°, d 2.752, I 39, hkl 0 0 2; 36.8°, d 2.444, I 100, hkl 2 1 1; 37.4°, d 2.405, I 24, hkl 3 0 0; 39.2°, d 2.296, I 25, hkl 1 1 2; 48.4°, d 1.881, I 16, hkl 3 1 1; 50.4°, d 1.811, I 18, hkl 3 0 2; 58.2°, d 1.585, I 17, hkl 3 2 1; 60.9°, d 1.522, I 23, hkl 2 1 3; 61.5°, d 1.509, I 9, hkl 4 0 2

Structure:
a b c (Å): 8.3315 8.3315 5.5036
angles (deg): 90.00 90.00 120.00
Space group P6_3/mcm (No. 193)
One atom of each set of equivalent atoms:
Li 0.3333 0.6667 0.0000
Ho 0.0000 0.2610 0.2500
Pd 0.0000 0.3947 0.7500


Record 8
Calculated XRD peak list
Compound: PmGe4Au4
Radiation: Cu Ka
Structure: a PBE-relaxed structure
No peak broadening, texture or thermal motion is included.

Top 10 peaks for 5° ≤ 2θ ≤ 70°, in order of rising 2θ:
25.4°, d 3.503, I 39, hkl 1 0 2; 28.1°, d 3.176, I 36, hkl 2 0 1; 31.0°, d 2.885, I 100, hkl 2 1 1; 35.6°, d 2.523, I 52, hkl 1 0 3; 36.8°, d 2.439, I 49, hkl 2 2 0; 43.3°, d 2.092, I 25, hkl 2 2 2; 44.5°, d 2.036, I 40, hkl 0 0 4; 52.2°, d 1.754, I 49, hkl 3 0 3; 53.1°, d 1.725, I 26, hkl 4 0 0; 59.2°, d 1.562, I 24, hkl 2 2 4

Structure:
a b c (Å): 6.900 6.900 8.132
angles (deg): 90.00 90.00 90.00
Space group P4_2/nmc (No. 137, origin choice 2)
One atom of each set of equivalent atoms:
Pm 0.250 0.750 0.250
Ge 0.002 0.750 0.592
Au 0.044 0.250 0.093


Record 9
Calculated XRD peak list
Compound: LiAcZn2H8
Radiation: Cu Ka
Structure: a PBE-relaxed structure
No peak broadening, texture or thermal motion is included.

Top 10 peaks for 5° ≤ 2θ ≤ 70°, in order of rising 2θ:
12.7°, d 6.978, I 44, hkl 0 0 1; 21.7°, d 4.097, I 25, hkl 1 0 0; 25.2°, d 3.533, I 100, hkl 1 0 1; 33.7°, d 2.656, I 63, hkl 0 1 2; 38.0°, d 2.366, I 36, hkl 1 1 0; 40.3°, d 2.240, I 18, hkl 1 1 1; 46.2°, d 1.966, I 20, hkl 0 2 1; 51.7°, d 1.767, I 19, hkl 2 0 2; 61.3°, d 1.512, I 17, hkl 2 1 1; 66.0°, d 1.415, I 19, hkl 3 -2 2

Structure:
a b c (Å): 4.7311 4.7311 6.9777
angles (deg): 90.00 90.00 120.00
Space group P-3 (No. 147)
One atom of each set of equivalent atoms:
Li 0.0000 0.0000 0.0000
Ac 0.0000 0.0000 0.5000
Zn 0.3333 0.6667 0.2257
H 0.0228 0.3037 0.1925
H 0.3333 0.6667 0.4801


Record 10
Calculated XRD peak list
Compound: RbPmHgS3
Radiation: Cu Ka
Structure: a PBE-relaxed structure
No peak broadening, texture or thermal motion is included.

Top 10 peaks for 5° ≤ 2θ ≤ 70°, in order of rising 2θ:
10.3°, d 8.557, I 18, hkl 1 0 0; 11.6°, d 7.623, I 100, hkl 1 0 -1; 23.3°, d 3.811, I 28, hkl 2 0 -2; 26.4°, d 3.379, I 24, hkl 1 1 1; 28.1°, d 3.179, I 24, hkl 0 1 2; 29.7°, d 3.006, I 43, hkl 2 1 0; 32.5°, d 2.755, I 21, hkl 1 0 3; 34.1°, d 2.629, I 25, hkl 1 1 -3; 42.8°, d 2.111, I 33, hkl 0 2 0; 53.4°, d 1.716, I 15, hkl 3 1 -5

Structure:
a b c (Å): 8.960 4.226 10.108
angles (deg): 90.00 107.25 90.00
Space group P2_1/m (No. 11)
One atom of each set of equivalent atoms:
Rb 0.213 0.250 0.237
Pm 0.331 0.750 0.863
Hg 0.097 0.250 0.616
S 0.113 0.250 0.868
S 0.221 0.750 0.541
S 0.464 0.750 0.146


Record 11
Calculated XRD peak list
Compound: RbGa12Au7
Radiation: Cu Ka
Structure: a PBE-relaxed structure
No peak broadening, texture or thermal motion is included.

Top 10 peaks for 5° ≤ 2θ ≤ 70°, in order of rising 2θ:
22.8°, d 3.895, I 64, hkl 1 -1 0; 25.0°, d 3.559, I 44, hkl 1 2 2; 30.3°, d 2.947, I 60, hkl 2 0 0; 30.9°, d 2.891, I 100, hkl 0 1 -2; 32.7°, d 2.742, I 41, hkl 0 3 2; 35.6°, d 2.525, I 55, hkl 2 3 1; 41.3°, d 2.184, I 61, hkl 1 1 -3; 42.0°, d 2.154, I 37, hkl 1 4 1; 43.2°, d 2.095, I 46, hkl 3 2 0; 43.6°, d 2.077, I 60, hkl 0 4 2

Structure:
a b c (Å): 6.382 8.900 8.960
angles (deg): 61.77 87.76 69.09
Space group P1 (No. 1)
One atom of each set of equivalent atoms:
Rb 0.000 0.000 0.000
Ga 0.098 0.093 0.581
Ga 0.184 0.466 0.366
Ga 0.359 0.210 0.014
Ga 0.423 0.687 0.462
Ga 0.438 0.691 0.890
Ga 0.513 0.013 0.372
Ga 0.599 0.973 0.671
Ga 0.649 0.295 0.150
Ga 0.669 0.305 0.572
Ga 0.913 0.530 0.693
Ga 0.941 0.574 0.064
Ga 0.999 0.897 0.423
Au 0.035 0.757 0.761
Au 0.079 0.213 0.242
Au 0.285 0.258 0.702
Au 0.537 0.546 0.243
Au 0.549 0.443 0.793
Au 0.556 0.893 0.997
Au 0.794 0.727 0.337


Record 12
Calculated XRD peak list
Compound: LiPmInRu
Radiation: Cu Ka
Structure: a PBE-relaxed structure
No peak broadening, texture or thermal motion is included.

Top 9 peaks for 5° ≤ 2θ ≤ 70°, in order of rising 2θ:
22.6°, d 3.940, I 19, hkl 1 1 1; 26.1°, d 3.412, I 22, hkl 2 0 0; 37.3°, d 2.413, I 100, hkl 2 2 0; 44.0°, d 2.057, I 9, hkl 3 1 1; 46.1°, d 1.970, I 6, hkl 2 2 2; 53.7°, d 1.706, I 17, hkl 4 0 0; 59.0°, d 1.565, I 4, hkl 3 3 1; 60.7°, d 1.526, I 8, hkl 4 2 0; 67.2°, d 1.393, I 35, hkl 4 2 2

Structure:
a b c (Å): 6.824 6.824 6.824
angles (deg): 90.00 90.00 90.00
Space group F-43m (No. 216)
One atom of each set of equivalent atoms:
Li 0.000 0.000 0.000
Pm 0.250 0.250 0.750
In 0.250 0.250 0.250
Ru 0.000 0.000 0.500


Record 13
Calculated XRD peak list
Compound: SrBe2AlRu
Radiation: Cu Ka
Structure: a PBE-relaxed structure
No peak broadening, texture or thermal motion is included.

Top 10 peaks for 5° ≤ 2θ ≤ 70°, in order of rising 2θ:
24.7°, d 3.601, I 100, hkl 1 0 1; 26.2°, d 3.396, I 68, hkl 1 1 0; 32.9°, d 2.720, I 24, hkl 0 0 2; 37.4°, d 2.402, I 33, hkl 2 0 0; 42.6°, d 2.123, I 37, hkl 1 1 2; 45.4°, d 1.998, I 39, hkl 2 1 1; 50.7°, d 1.800, I 27, hkl 2 0 2; 54.0°, d 1.697, I 23, hkl 2 2 0; 61.0°, d 1.519, I 12, hkl 3 1 0; 64.7°, d 1.440, I 13, hkl 2 2 2

Structure:
a b c (Å): 4.803 4.803 5.440
angles (deg): 90.00 90.00 90.00
Space group P4/mmm (No. 123)
One atom of each set of equivalent atoms:
Sr 0.000 0.000 0.000
Be 0.000 0.500 0.000
Al 0.000 0.000 0.500
Ru 0.500 0.500 0.500